# 1
Cr3C2: theoretical powder XRD pattern (Cu Kα X-rays), based on the PBE geometry in Alexandria.
No peak broadening, texture or thermal motion is included.

Largest 10 diffraction maxima, low angle first, 2θ = 5–70°:
- 35.3°, rel. 25.1
- 39.5°, rel. 100.0
- 40.5°, rel. 58.7
- 45.8°, rel. 25.9
- 47.1°, rel. 50.2
- 47.5°, rel. 35.2
- 48.4°, rel. 36.7
- 49.2°, rel. 43.6
- 50.5°, rel. 30.9
- 51.5°, rel. 25.7

Structure:
```
Cr3C2
1.0
5.4854 0.0000 0.0000
0.0000 2.7936 0.0000
0.0000 0.0000 11.4784
Cr C
12 8
direct
0.0157 0.2500 0.0967
0.1322 0.7500 0.4316
0.1859 0.2500 0.7265
0.3141 0.7500 0.2265
0.3678 0.2500 0.9316
0.4843 0.7500 0.5967
0.5157 0.2500 0.4033
0.6322 0.7500 0.0684
0.6859 0.2500 0.7735
0.8141 0.7500 0.2735
0.8678 0.2500 0.5684
0.9843 0.7500 0.9033
0.0994 0.2500 0.2974
0.2387 0.2500 0.5485
0.2613 0.7500 0.0485
0.4006 0.7500 0.7974
0.5994 0.2500 0.2026
0.7387 0.2500 0.9515
0.7613 0.7500 0.4515
0.9006 0.7500 0.7026
```

# 2
Cr7C5: theoretical powder XRD pattern (Cu Kα X-rays), based on the PBE geometry in Alexandria.
No peak broadening, texture or thermal motion is included.

Largest 10 diffraction maxima, low angle first, 2θ = 5–70°:
- 20.6°, rel. 44.3
- 27.4°, rel. 37.6
- 34.5°, rel. 100.0
- 36.9°, rel. 36.0
- 50.8°, rel. 79.7
- 53.1°, rel. 35.5
- 54.8°, rel. 16.8
- 56.5°, rel. 40.6
- 57.7°, rel. 15.2
- 65.0°, rel. 12.0

Structure:
```
Cr7C5
1.0
-3.2600 3.2600 2.8673
3.2600 -3.2600 2.8673
3.2600 3.2600 -2.8673
Cr C
7 5
direct
0.0000 0.0000 0.0000
0.1589 0.6589 0.5000
0.1753 0.4184 0.7568
0.4184 0.1753 0.7568
0.4184 0.6616 0.2432
0.6589 0.1589 0.5000
0.6616 0.4184 0.2432
0.3654 0.3654 0.4391
0.3654 0.9263 0.0000
0.6430 0.6430 0.0000
0.9263 0.3654 0.0000
0.9263 0.9263 0.5609
```

# 3
CrC3: theoretical powder XRD pattern (Cu Kα X-rays), based on the PBE geometry in Alexandria.
No peak broadening, texture or thermal motion is included.

Largest 10 diffraction maxima, low angle first, 2θ = 5–70°:
- 26.5°, rel. 100.0
- 33.1°, rel. 31.2
- 34.6°, rel. 58.5
- 40.7°, rel. 79.4
- 42.2°, rel. 33.9
- 45.5°, rel. 31.4
- 50.4°, rel. 23.3
- 54.6°, rel. 22.7
- 55.7°, rel. 20.6
- 67.0°, rel. 17.3

Structure:
```
CrC3
1.0
5.9058 0.0000 0.0000
0.0000 5.4145 0.0000
0.0000 0.0000 4.2845
Cr C
4 12
direct
0.1968 0.2500 0.2452
0.3032 0.7500 0.7452
0.6968 0.2500 0.2548
0.8032 0.7500 0.7548
0.0710 0.0180 0.8602
0.0710 0.4820 0.8602
0.0915 0.2500 0.6989
0.4085 0.7500 0.1989
0.4290 0.5180 0.3602
0.4290 0.9820 0.3602
0.5710 0.0180 0.6398
0.5710 0.4820 0.6398
0.5915 0.2500 0.8011
0.9085 0.7500 0.3011
0.9290 0.5180 0.1398
0.9290 0.9820 0.1398
```